Entry 1:
# NaDyReO6
Calculated powder X-ray diffraction pattern, CuKα. Input: a cell relaxed with PBE.
Peak positions follow from Bragg's law for the DFT cell and can differ from measured ones.

Principal peaks in the range 2θ from 15° to 90°, by angle:
h k l	2θ/deg	intensity
0 0 1	17.94	100
1 0 0	18.30	67
1 0 1	25.74	88
1 1 0	31.97	66
2 -1 1	36.90	87
2 -1 2	49.18	62
3 -1 1	53.31	24
3 0 1	60.24	23

Crystal structure
abc: 5.5989 5.5989 4.9432
angles: 90.00 90.00 120.00
Sites, in units of the cell vectors:
1 Na 0.0000 0.0000 0.0000
2 Dy 0.3333 0.6667 0.5000
3 Re 0.6667 0.3333 0.5000
4 O 0.3926 0.0474 0.7163
5 O 0.3926 0.3452 0.2837
6 O 0.6548 0.0474 0.2837
7 O 0.6548 0.6074 0.7163
8 O 0.9526 0.3452 0.7163
9 O 0.9526 0.6074 0.2837

=====

Entry 2:
# NaDy2RhO5
Calculated powder X-ray diffraction pattern, CuKα. Input: a cell relaxed with PBE.
Peak positions follow from Bragg's law for the DFT cell and can differ from measured ones.

Principal peaks in the range 2θ from 15° to 90°, by angle:
h k l	2θ/deg	intensity
0 0 1	15.40	64
1 1 0	19.19	45
2 1 0	30.55	36
0 0 2	31.08	44
2 0 1	31.46	100
2 1 1	34.39	87
2 1 2	44.15	64
3 1 1	46.65	41

Crystal structure
abc: 6.5423 6.5423 5.7547
angles: 90.00 90.00 90.00
Sites, in units of the cell vectors:
1 Na 0.0000 0.0000 0.0000
2 Na 0.5000 0.5000 0.0000
3 Dy 0.1763 0.3237 0.5000
4 Dy 0.3237 0.8237 0.5000
5 Dy 0.6763 0.1763 0.5000
6 Dy 0.8237 0.6763 0.5000
7 Rh 0.0000 0.5000 0.0000
8 Rh 0.5000 0.0000 0.0000
9 O 0.0000 0.0000 0.5000
10 O 0.1383 0.6383 0.2562
11 O 0.1383 0.6383 0.7438
12 O 0.3617 0.1383 0.2562
13 O 0.3617 0.1383 0.7438
14 O 0.5000 0.5000 0.5000
15 O 0.6383 0.8617 0.2562
16 O 0.6383 0.8617 0.7438
17 O 0.8617 0.3617 0.2562
18 O 0.8617 0.3617 0.7438

=====

> What is the formula in the first record?

NaDyReO6